For Nd4InGa3, a cell relaxed with PBE gives the theoretical powder diffractogram in this record (Cu Kα (weighted mean of Kα1 and Kα2)).
Peak positions follow from Bragg's law for the DFT cell and can differ from measured ones.

Top 8 peaks for 2θ from 10° to 80°, by angle:
d_spacing, I/Imax
3.000, 100.0
2.925, 41.7
2.862, 23.8
2.410, 54.7
2.374, 21.3
2.277, 27.0
2.127, 22.0
1.720, 17.5

abc: 4.2533 4.5548 11.4477
angles: 90.00 90.00 90.00
Space group Pmm2 (No. 25)
One atom of each set of equivalent atoms:
Nd: 0.0000 0.0000 0.0000 (multiplicity 1)
Nd: 0.0000 0.5000 0.4850 (multiplicity 1)
Nd: 0.5000 0.0000 0.7061 (multiplicity 1)
Nd: 0.5000 0.5000 0.2156 (multiplicity 1)
In: 0.0000 0.5000 0.7800 (multiplicity 1)
Ga: 0.0000 0.0000 0.2819 (multiplicity 1)
Ga: 0.5000 0.0000 0.4224 (multiplicity 1)
Ga: 0.5000 0.5000 0.9373 (multiplicity 1)

=====

For CsP, a cell relaxed with PBE gives the theoretical powder diffractogram in this record (Cu Kα (weighted mean of Kα1 and Kα2)).
Peak positions follow from Bragg's law for the DFT cell and can differ from measured ones.

Top 8 peaks for 2θ from 10° to 80°, by angle:
d_spacing, I/Imax
4.616, 40.3
3.664, 51.3
3.443, 100.0
3.266, 37.1
2.863, 28.2
2.438, 33.0
2.257, 24.3
1.800, 26.8

abc: 7.8170 11.8877 14.6540
angles: 90.00 90.00 90.00
Space group Fddd (No. 70, origin choice 2)
One atom of each set of equivalent atoms:
Cs: 0.1250 0.3306 0.1250 (multiplicity 16)
P: 0.0074 0.3750 0.8750 (multiplicity 16)

=====

For LaCe2Y6Ho3, a cell relaxed with PBE gives the theoretical powder diffractogram in this record (Cu Kα (weighted mean of Kα1 and Kα2)).
Peak positions follow from Bragg's law for the DFT cell and can differ from measured ones.

Top 8 peaks for 2θ from 10° to 80°, by angle:
d_spacing, I/Imax
2.919, 100.0
2.537, 16.9
2.528, 16.8
2.520, 16.6
1.789, 23.6
1.528, 14.0
1.524, 13.9
1.521, 13.7

abc: 5.0556 10.0804 15.2216
angles: 90.00 90.00 90.00
Space group Immm (No. 71)
One atom of each set of equivalent atoms:
La: 0.0000 0.0000 0.0000 (multiplicity 2)
Ce: 0.0000 0.0000 0.3331 (multiplicity 4)
Y: 0.0000 0.2441 0.5000 (multiplicity 4)
Y: 0.0000 0.2528 0.1681 (multiplicity 8)
Ho: 0.0000 0.5000 0.0000 (multiplicity 2)
Ho: 0.0000 0.5000 0.3312 (multiplicity 4)

=====

For Ca7CoN6, a cell relaxed with PBE gives the theoretical powder diffractogram in this record (Cu Kα (weighted mean of Kα1 and Kα2)).
Peak positions follow from Bragg's law for the DFT cell and can differ from measured ones.

Top 8 peaks for 2θ from 10° to 80°, by angle:
d_spacing, I/Imax
4.152, 23.6
2.923, 22.7
2.811, 17.5
2.776, 100.0
2.713, 26.2
2.496, 41.8
2.462, 24.3
2.443, 38.1

abc: 10.8509 6.2441 12.9245
angles: 90.00 90.00 90.00
Space group Pbcn (No. 60)
One atom of each set of equivalent atoms:
Ca: 0.0000 0.0545 0.2500 (multiplicity 4)
Ca: 0.0395 0.2301 0.5227 (multiplicity 8)
Ca: 0.2025 0.3887 0.1236 (multiplicity 8)
Ca: 0.2263 0.3594 0.8740 (multiplicity 8)
Co: 0.0000 0.4350 0.7500 (multiplicity 4)
N: 0.0511 0.3849 0.3535 (multiplicity 8)
N: 0.1278 0.2569 0.7086 (multiplicity 8)
N: 0.1668 0.0938 0.9975 (multiplicity 8)

=====

For ThHg4, a cell relaxed with PBE gives the theoretical powder diffractogram in this record (Cu Kα (weighted mean of Kα1 and Kα2)).
Peak positions follow from Bragg's law for the DFT cell and can differ from measured ones.

Top 8 peaks for 2θ from 10° to 80°, by angle:
d_spacing, I/Imax
2.725, 95.6
2.607, 100.0
2.510, 40.5
2.495, 45.1
2.023, 18.7
1.770, 29.0
1.461, 17.4
1.403, 30.4

abc: 4.9909 6.6578 15.2865
angles: 90.00 90.00 90.00
Space group Imma (No. 74)
One atom of each set of equivalent atoms:
Th: 0.0000 0.2500 0.1085 (multiplicity 4)
Hg: 0.0000 0.0000 0.5000 (multiplicity 4)
Hg: 0.0000 0.0008 0.3015 (multiplicity 8)
Hg: 0.0000 0.2500 0.8982 (multiplicity 4)